Entry 1:
The following is a computed PXRD pattern of H2AuBr. It was derived from a cell relaxed with GGA-PBE, using λ = 1.5418 Å (Cu Kα).
No peak broadening, texture or thermal motion is included.

Cell and atoms:
```
H2AuBr
1.0
4.4195 0.0000 0.0000
2.0160 3.9561 0.0000
0.4215 0.2261 6.4237
H Au Br
2 1 1
Direct
0.0000 0.0000 0.0000
0.0802 0.0853 0.9278
0.7094 0.7619 0.4623
0.3417 0.3914 0.4645
```

Most intense lines, 2θ from 5° to 70°, low angle first:
d 6.424, I 100
d 3.954, I 10
d 3.767, I 16
d 3.421, I 15
d 3.360, I 13
d 3.212, I 21
d 3.149, I 11
d 2.539, I 12

=====

Entry 2:
The following is a computed PXRD pattern of HAuBr3. It was derived from a cell relaxed with GGA-PBE, using λ = 1.5418 Å (Cu Kα).
No peak broadening, texture or thermal motion is included.

Cell and atoms:
```
HAuBr3
1.0
7.0307 -4.9176 0.0000
7.0307 4.9176 0.0000
-3.8250 0.0000 8.9317
H Au Br
4 4 12
Direct
0.0239 0.7198 0.7315
0.2802 0.9761 0.7685
0.7198 0.0239 0.2315
0.9761 0.2802 0.2685
0.1077 0.8923 0.2500
0.4823 0.5177 0.7500
0.5177 0.4823 0.2500
0.8923 0.1077 0.7500
0.1147 0.1638 0.1881
0.1638 0.1147 0.6881
0.1864 0.5705 0.5918
0.2217 0.5461 0.0964
0.4295 0.8136 0.9082
0.4539 0.7783 0.4036
0.5461 0.2217 0.5964
0.5705 0.1864 0.0918
0.7783 0.4539 0.9036
0.8136 0.4295 0.4082
0.8362 0.8853 0.3119
0.8853 0.8362 0.8119
```

Most intense lines, 2θ from 5° to 70°, low angle first:
d 6.463, I 98
d 4.622, I 96
d 4.466, I 43
d 3.690, I 43
d 3.307, I 100
d 2.647, I 40
d 2.609, I 52
d 2.031, I 34

=====

Entry 3:
The following is a computed PXRD pattern of H2Au2Br5. It was derived from a cell relaxed with GGA-PBE, using λ = 1.5418 Å (Cu Kα).
No peak broadening, texture or thermal motion is included.

Cell and atoms:
```
H2Au2Br5
1.0
-7.9415 7.9787 2.7995
7.9415 -7.9787 2.7995
7.9415 7.9787 -2.7995
H Au Br
4 4 10
Direct
0.0976 0.0218 0.1194
0.0976 0.4782 0.5759
0.9024 0.5218 0.4241
0.9024 0.9782 0.8806
0.2923 0.2923 0.0000
0.2923 0.7923 0.5000
0.4472 0.2339 0.7133
0.5205 0.7339 0.2867
0.2122 0.4129 0.0814
0.2122 0.6307 0.2992
0.3315 0.1307 0.9186
0.3315 0.9129 0.7008
0.6034 0.5051 0.5984
0.6530 0.3384 0.3586
0.6530 0.7944 0.8147
0.9067 0.0051 0.4016
0.9798 0.2944 0.6414
0.9798 0.8384 0.1853
```

Most intense lines, 2θ from 5° to 70°, low angle first:
d 7.978, I 100
d 5.283, I 55
d 4.401, I 55
d 3.971, I 30
d 3.856, I 86
d 3.468, I 27
d 2.767, I 49
d 2.272, I 23

=====

Entry 4:
The following is a computed PXRD pattern of SbHIrAuBr. It was derived from a cell relaxed with GGA-PBE, using λ = 1.5418 Å (Cu Kα).
No peak broadening, texture or thermal motion is included.

Cell and atoms:
```
SbHIrAuBr
1.0
4.2373 0.0000 0.0000
-2.1186 3.6696 0.0000
0.0000 0.0000 6.8819
Sb H Ir Au Br
1 1 1 1 1
Direct
0.0000 0.0000 0.0000
0.6667 0.3333 0.8850
0.6667 0.3333 0.1150
0.3333 0.6667 0.3274
0.0000 0.0000 0.5777
```

Most intense lines, 2θ from 5° to 70°, low angle first:
d 6.882, I 92
d 3.238, I 100
d 2.510, I 98
d 2.119, I 69
d 2.025, I 27
d 1.945, I 36
d 1.773, I 18
d 1.619, I 26

=====

Which formula does entry 4 have?
SbHIrAuBr

=====

Number 1 is which compound?
H2AuBr